(1)
The following is a simulated powder X-ray diffraction pattern of Ti5B2Rh12. It was derived from a DFT-relaxed cell (GGA-PBE, Alexandria), using Cu Ka.
Intensities are scaled so that the largest is 100.

Crystal structure
abc: 7.826 7.826 7.003
angles: 108.74 108.74 42.57
Fractional positions:
Ti (0.000, 0.000, 0.000)
Ti (0.240, 0.240, 0.474)
Ti (0.246, 0.246, 0.007)
Ti (0.754, 0.754, 0.993)
Ti (0.760, 0.760, 0.526)
B (0.333, 0.667, 0.500)
B (0.667, 0.333, 0.500)
Rh (0.031, 0.031, 0.347)
Rh (0.094, 0.607, 0.314)
Rh (0.122, 0.583, 0.826)
Rh (0.393, 0.906, 0.686)
Rh (0.417, 0.878, 0.174)
Rh (0.490, 0.490, 0.210)
Rh (0.510, 0.510, 0.790)
Rh (0.583, 0.122, 0.826)
Rh (0.607, 0.094, 0.314)
Rh (0.878, 0.417, 0.174)
Rh (0.906, 0.393, 0.686)
Rh (0.969, 0.969, 0.653)

The 8 most intense peaks (2θ from 10° to 90°), most intense first:
2θ 41.31, I = 100
2θ 41.09, I = 99
2θ 39.54, I = 90
2θ 34.08, I = 36
2θ 27.13, I = 29
2θ 34.18, I = 26
2θ 44.31, I = 24
2θ 79.52, I = 21

(2)
The following is a simulated powder X-ray diffraction pattern of Pr2DyTm7. It was derived from a DFT-relaxed cell (GGA-PBE, Alexandria), using Cu Ka.
Intensities are scaled so that the largest is 100.

Crystal structure
abc: 14.696 14.696 3.498
angles: 90.00 90.00 154.69
Fractional positions:
Pr (0.208, 0.792, 0.000)
Pr (0.792, 0.208, 0.000)
Dy (0.500, 0.500, 0.500)
Tm (0.000, 0.000, 0.000)
Tm (0.157, 0.351, 0.000)
Tm (0.317, 0.683, 0.500)
Tm (0.351, 0.157, 0.000)
Tm (0.649, 0.843, 0.000)
Tm (0.683, 0.317, 0.500)
Tm (0.843, 0.649, 0.000)

The 8 most intense peaks (2θ from 10° to 90°), most intense first:
2θ 33.06, I = 100
2θ 33.56, I = 81
2θ 31.19, I = 69
2θ 30.43, I = 68
2θ 31.70, I = 49
2θ 29.22, I = 46
2θ 40.08, I = 35
2θ 63.59, I = 30

(3)
The following is a simulated powder X-ray diffraction pattern of Hg3S2Cl2. It was derived from a DFT-relaxed cell (GGA-PBE, Alexandria), using Cu Ka.
Intensities are scaled so that the largest is 100.

Crystal structure
abc: 7.479 7.435 7.997
angles: 90.00 120.54 90.00
Fractional positions:
Hg (0.000, 0.000, 0.000)
Hg (0.000, 0.500, 0.500)
Hg (0.430, 0.086, 0.710)
Hg (0.430, 0.414, 0.210)
Hg (0.570, 0.586, 0.790)
Hg (0.570, 0.914, 0.290)
S (0.320, 0.123, 0.041)
S (0.320, 0.377, 0.541)
S (0.680, 0.623, 0.459)
S (0.680, 0.877, 0.959)
Cl (0.200, 0.646, 0.919)
Cl (0.200, 0.854, 0.419)
Cl (0.800, 0.146, 0.581)
Cl (0.800, 0.354, 0.081)

The 8 most intense peaks (2θ from 10° to 90°), most intense first:
2θ 22.24, I = 100
2θ 26.71, I = 69
2θ 26.16, I = 55
2θ 27.26, I = 52
2θ 32.90, I = 40
2θ 23.94, I = 37
2θ 33.58, I = 32
2θ 36.35, I = 31